1.
For MgPa2Pt9, a crystal structure in Alexandria, relaxed with GGA-PBE gives the computed powder X-ray diffraction pattern in this record (Cu Kα X-rays).

The 6 most intense peaks (2θ from 10° to 90°), most intense first:
two_theta  intensity
37.94  100
43.78  34
76.55  27
64.36  21
44.70  15
77.86  12

Atomic structure:
Cell lengths 4.135, 4.135, 12.164 Å; angles 90.00, 90.00, 90.00 degrees
Atoms (fractional coordinates):
Mg (0.000, 0.000, 0.000)
Pa (0.000, 0.000, 0.323)
Pa (0.000, 0.000, 0.677)
Pt (0.000, 0.500, 0.162)
Pt (0.000, 0.500, 0.500)
Pt (0.000, 0.500, 0.838)
Pt (0.500, 0.000, 0.162)
Pt (0.500, 0.000, 0.500)
Pt (0.500, 0.000, 0.838)
Pt (0.500, 0.500, 0.000)
Pt (0.500, 0.500, 0.331)
Pt (0.500, 0.500, 0.669)


2.
For Na7Tl12Sn, a crystal structure in Alexandria, relaxed with GGA-PBE gives the computed powder X-ray diffraction pattern in this record (Cu Kα X-rays).

The 6 most intense peaks (2θ from 10° to 90°), most intense first:
two_theta  intensity
30.83  100
33.84  59
14.36  44
15.11  37
36.15  34
37.23  29

Atomic structure:
Cell lengths 8.523, 8.523, 8.523 Å; angles 92.76, 92.76, 92.76 degrees
Atoms (fractional coordinates):
Na (0.000, 0.000, 0.000)
Na (0.119, 0.454, 0.345)
Na (0.345, 0.119, 0.454)
Na (0.454, 0.345, 0.119)
Na (0.546, 0.655, 0.881)
Na (0.655, 0.881, 0.546)
Na (0.881, 0.546, 0.655)
Tl (0.014, 0.885, 0.349)
Tl (0.115, 0.651, 0.986)
Tl (0.239, 0.750, 0.621)
Tl (0.250, 0.379, 0.761)
Tl (0.349, 0.014, 0.885)
Tl (0.379, 0.761, 0.250)
Tl (0.621, 0.239, 0.750)
Tl (0.651, 0.986, 0.115)
Tl (0.750, 0.621, 0.239)
Tl (0.761, 0.250, 0.379)
Tl (0.885, 0.349, 0.014)
Tl (0.986, 0.115, 0.651)
Sn (0.500, 0.500, 0.500)